Diffraction record for UF3. The PXRD pattern is computed, not measured: it uses a crystal structure in the Materials Project, relaxed with PBE and Cu Kα, 1.54184 Å.
Neutral-atom scattering factors, no anomalous dispersion.

Principal peaks in the range 2θ = 10–90°, most intense first:
Position (°2θ), d (Å), I_rel
26.53, 3.360, 100.0
44.01, 2.058, 75.0
30.73, 2.910, 52.3
52.12, 1.755, 51.1
80.92, 1.188, 25.0
70.54, 1.335, 22.2
72.66, 1.301, 20.6
86.99, 1.120, 18.6
54.63, 1.680, 14.9
63.99, 1.455, 12.0

```
16
Lattice="5.820 0.000 0.000 0.000 5.820 0.000 0.000 0.000 5.820" Properties=species:S:1:pos:R:3 pbc="T T T"
U 0.000 0.000 0.000
U 0.000 2.910 2.910
U 2.910 0.000 2.910
U 2.910 2.910 0.000
F 0.000 0.000 2.910
F 0.000 2.910 0.000
F 1.455 1.455 1.455
F 1.455 1.455 4.365
F 1.455 4.365 1.455
F 1.455 4.365 4.365
F 2.910 0.000 0.000
F 2.910 2.910 2.910
F 4.365 1.455 1.455
F 4.365 1.455 4.365
F 4.365 4.365 1.455
F 4.365 4.365 4.365
```


Diffraction record for UF3. The PXRD pattern is computed, not measured: it uses a crystal structure in the Materials Project, relaxed with PBE and Cu Kα, 1.54184 Å.
Neutral-atom scattering factors, no anomalous dispersion.

Principal peaks in the range 2θ = 10–90°, most intense first:
Position (°2θ), d (Å), I_rel
24.57, 3.623, 100.0
31.33, 2.855, 78.7
19.13, 4.639, 66.2
46.49, 1.953, 43.6
47.69, 1.907, 38.3
43.25, 2.092, 36.0
59.51, 1.553, 22.4
54.37, 1.687, 18.4
81.65, 1.179, 17.9
71.89, 1.313, 17.5

```
4
Lattice="4.183 0.000 0.000 -2.092 3.623 0.000 0.000 0.000 4.639" Properties=species:S:1:pos:R:3 pbc="T T T"
U 0.000 0.000 0.000
F 0.000 0.000 2.319
F 0.000 2.415 0.508
F 2.092 1.208 4.131
```


Diffraction record for UF6. The PXRD pattern is computed, not measured: it uses a crystal structure in the Materials Project, relaxed with PBE and Cu Kα, 1.54184 Å.
Neutral-atom scattering factors, no anomalous dispersion.

Principal peaks in the range 2θ = 10–90°, most intense first:
Position (°2θ), d (Å), I_rel
18.77, 4.727, 100.0
18.06, 4.911, 39.5
20.85, 4.260, 30.4
26.16, 3.406, 29.5
31.49, 2.841, 26.3
49.31, 1.848, 15.7
33.28, 2.692, 14.1
41.05, 2.199, 11.4
36.35, 2.472, 10.0
19.14, 4.637, 9.5

```
28
Lattice="10.783 0.000 0.000 0.000 9.822 0.000 0.000 0.000 5.260" Properties=species:S:1:pos:R:3 pbc="T T T"
U 1.050 2.455 0.328
U 4.342 7.366 2.958
U 6.441 2.455 2.302
U 9.733 7.366 4.932
F 0.278 1.048 4.362
F 0.278 3.863 4.362
F 0.677 7.366 3.874
F 1.811 1.038 1.546
F 1.811 3.873 1.546
F 2.665 7.366 1.828
F 2.726 2.455 4.458
F 3.580 5.949 4.176
F 3.580 8.784 4.176
F 4.715 2.455 1.244
F 5.113 5.959 1.732
F 5.113 8.774 1.732
F 5.669 1.048 3.528
F 5.669 3.863 3.528
F 6.068 7.366 4.016
F 7.203 1.038 1.084
F 7.203 3.873 1.084
F 8.057 7.366 0.802
F 8.117 2.455 3.432
F 8.971 5.949 3.715
F 8.971 8.784 3.715
F 10.106 2.455 1.386
F 10.505 5.959 0.898
F 10.505 8.774 0.898
```


Diffraction record for XeF3. The PXRD pattern is computed, not measured: it uses a crystal structure in the Materials Project, relaxed with PBE and Cu Kα, 1.54184 Å.
Neutral-atom scattering factors, no anomalous dispersion.

Principal peaks in the range 2θ = 10–90°, most intense first:
Position (°2θ), d (Å), I_rel
21.83, 4.071, 100.0
22.58, 3.937, 82.9
23.84, 3.733, 41.0
35.58, 2.523, 36.4
27.14, 3.285, 28.9
26.02, 3.424, 28.0
36.43, 2.466, 27.0
44.52, 2.035, 26.5
41.17, 2.193, 21.6
45.72, 1.984, 16.9

```
16
Lattice="6.856 0.000 0.000 0.000 7.466 0.000 -0.308 0.000 6.571" Properties=species:S:1:pos:R:3 pbc="T T T"
Xe 0.000 0.000 0.000
Xe -0.154 3.733 3.286
Xe 3.274 0.000 3.286
Xe 3.428 3.733 0.000
F -0.177 0.600 4.621
F -0.023 3.133 1.335
F 1.705 4.572 3.171
F 1.551 6.627 6.456
F 2.149 1.422 2.264
F 1.995 2.311 5.550
F 4.553 5.155 1.021
F 4.399 6.044 4.307
F 4.997 0.839 0.115
F 4.843 2.894 3.401
F 6.571 4.333 5.236
F 6.725 6.867 1.950
```


Diffraction record for YF3. The PXRD pattern is computed, not measured: it uses a crystal structure in the Materials Project, relaxed with PBE and Cu Kα, 1.54184 Å.
Neutral-atom scattering factors, no anomalous dispersion.

Principal peaks in the range 2θ = 10–90°, most intense first:
Position (°2θ), d (Å), I_rel
47.77, 1.904, 100.0
28.71, 3.109, 94.0
16.46, 5.385, 47.2
56.69, 1.624, 40.4
37.34, 2.408, 30.0
89.06, 1.099, 27.0
23.36, 3.808, 18.4
77.22, 1.235, 16.1
69.86, 1.346, 13.7
33.27, 2.693, 13.1

```
12
Lattice="5.385 0.000 0.000 0.000 5.385 0.000 0.000 0.000 5.385" Properties=species:S:1:pos:R:3 pbc="T T T"
Y 0.000 0.000 2.693
Y 0.000 2.693 0.000
Y 2.693 0.000 0.000
F 0.000 0.000 0.000
F 1.387 1.387 1.387
F 1.387 1.387 3.999
F 1.387 3.999 1.387
F 1.387 3.999 3.999
F 3.999 1.387 1.387
F 3.999 1.387 3.999
F 3.999 3.999 1.387
F 3.999 3.999 3.999
```


Diffraction record for YF3. The PXRD pattern is computed, not measured: it uses a crystal structure in the Materials Project, relaxed with PBE and Cu Kα, 1.54184 Å.
Neutral-atom scattering factors, no anomalous dispersion.

Principal peaks in the range 2θ = 10–90°, most intense first:
Position (°2θ), d (Å), I_rel
28.98, 3.081, 100.0
46.99, 1.934, 70.4
45.84, 1.980, 58.3
25.36, 3.513, 41.4
53.11, 1.725, 35.9
25.99, 3.429, 29.3
55.15, 1.666, 18.8
67.74, 1.383, 16.9
74.44, 1.274, 16.0
85.67, 1.134, 15.1

```
24
Lattice="6.858 0.000 0.000 -3.429 5.939 0.000 0.000 0.000 7.025" Properties=species:S:1:pos:R:3 pbc="T T T"
Y -1.183 2.050 1.756
Y -2.245 3.889 5.269
Y 2.367 0.000 1.756
Y 1.183 2.050 5.269
Y 4.491 0.000 5.269
Y 2.245 3.889 1.756
F 0.000 0.000 1.756
F 0.000 0.000 5.269
F -0.819 2.221 6.477
F -1.915 4.119 2.964
F 0.819 2.221 2.964
F -1.096 5.538 6.477
F 0.000 3.959 1.307
F 0.000 3.959 4.820
F 2.333 0.401 4.061
F 1.514 1.820 0.548
F 1.915 4.119 6.477
F 1.096 5.538 2.964
F 3.429 1.980 2.205
F 3.429 1.980 5.718
F 4.524 0.401 0.548
F 2.610 3.718 4.061
F 5.343 1.820 4.061
F 4.248 3.718 0.548
```


Diffraction record for YF3. The PXRD pattern is computed, not measured: it uses a crystal structure in the Materials Project, relaxed with PBE and Cu Kα, 1.54184 Å.
Neutral-atom scattering factors, no anomalous dispersion.

Principal peaks in the range 2θ = 10–90°, most intense first:
Position (°2θ), d (Å), I_rel
27.16, 3.284, 100.0
23.89, 3.725, 63.5
25.61, 3.478, 57.9
47.37, 1.919, 55.2
46.11, 1.968, 49.2
31.05, 2.880, 48.6
48.68, 1.870, 36.5
43.80, 2.067, 28.5
50.75, 1.799, 27.8
43.36, 2.087, 19.1

```
16
Lattice="6.329 0.000 0.000 0.000 6.956 0.000 0.000 0.000 4.607" Properties=species:S:1:pos:R:3 pbc="T T T"
Y 0.847 1.739 0.222
Y 2.318 5.217 2.526
Y 4.011 1.739 2.081
Y 5.482 5.217 4.385
F 0.183 5.217 1.799
F 1.031 3.920 3.972
F 1.031 6.515 3.972
F 2.133 0.442 1.668
F 2.133 3.036 1.668
F 2.981 1.739 4.102
F 3.348 5.217 0.505
F 4.196 3.920 2.939
F 4.196 6.515 2.939
F 5.297 0.442 0.635
F 5.297 3.036 0.635
F 6.145 1.739 2.808
```


Diffraction record for YZr3F15. The PXRD pattern is computed, not measured: it uses a crystal structure in the Materials Project, relaxed with PBE and Cu Kα, 1.54184 Å.
Neutral-atom scattering factors, no anomalous dispersion.

Principal peaks in the range 2θ = 10–90°, most intense first:
Position (°2θ), d (Å), I_rel
22.52, 3.949, 100.0
22.92, 3.880, 34.7
30.55, 2.926, 25.4
44.43, 2.039, 23.9
27.33, 3.263, 21.5
44.87, 2.020, 18.7
52.36, 1.747, 17.8
24.47, 3.638, 16.5
49.96, 1.826, 14.7
28.33, 3.150, 14.2

```
38
Lattice="5.270 -6.304 0.000 5.270 6.304 0.000 -2.255 0.000 7.895" Properties=species:S:1:pos:R:3 pbc="T T T"
Y 3.579 4.067 5.921
Y 4.706 -4.067 1.974
Zr 4.706 3.160 1.974
Zr 1.498 0.453 5.331
Zr 2.625 -0.453 1.384
Zr 5.659 0.453 6.510
Zr 6.787 -0.453 2.563
Zr 3.579 -3.160 5.921
F -0.268 1.691 6.161
F 0.505 1.310 3.729
F 0.977 0.765 1.184
F 2.107 2.424 5.384
F -0.150 -0.765 5.131
F 3.266 1.697 1.770
F 2.723 3.103 7.866
F -0.622 -1.310 7.676
F 0.860 -1.691 2.214
F 4.434 3.103 3.976
F 1.370 0.206 7.481
F 2.497 -0.206 3.533
F 5.050 2.424 6.458
F 3.579 0.431 5.921
F 2.138 -1.697 5.717
F 6.146 1.697 2.178
F 4.706 -0.431 1.974
F 3.235 -2.424 1.437
F 5.787 0.206 4.361
F 6.915 -0.206 0.414
F 3.850 -3.103 3.918
F 7.425 1.691 5.681
F 8.907 1.310 0.219
F 5.562 -3.103 0.029
F 5.019 -1.697 6.125
F 8.435 0.765 2.763
F 6.177 -2.424 2.510
F 7.308 -0.765 6.711
F 7.779 -1.310 4.166
F 8.552 -1.691 1.733
```


Diffraction record for YZrF7. The PXRD pattern is computed, not measured: it uses a crystal structure in the Materials Project, relaxed with PBE and Cu Kα, 1.54184 Å.
Neutral-atom scattering factors, no anomalous dispersion.

Principal peaks in the range 2θ = 10–90°, most intense first:
Position (°2θ), d (Å), I_rel
21.40, 4.153, 100.0
21.79, 4.078, 36.9
28.38, 3.145, 20.7
43.39, 2.085, 16.0
25.43, 3.502, 15.7
46.68, 1.946, 14.6
47.11, 1.929, 14.4
22.58, 3.937, 13.1
43.59, 2.076, 12.3
50.01, 1.824, 11.4

```
18
Lattice="6.149 0.000 0.000 0.000 5.742 0.000 -1.738 0.000 8.156" Properties=species:S:1:pos:R:3 pbc="T T T"
Y 0.634 0.000 1.497
Y 3.776 2.871 6.659
Zr 0.658 5.685 5.904
Zr 3.753 2.814 2.252
F -0.978 1.163 5.817
F 0.237 1.762 0.180
F -0.504 3.985 5.859
F 0.739 5.707 3.872
F 0.525 5.667 7.936
F 2.146 1.550 2.192
F 2.365 4.319 2.116
F 2.046 1.448 6.039
F 2.264 4.421 5.963
F 3.885 2.796 0.219
F 3.671 2.836 4.284
F 4.915 1.114 2.296
F 4.173 4.633 7.975
F 5.388 4.034 2.339
```


Copy entry 5 word for word.
Diffraction record for YF3. The PXRD pattern is computed, not measured: it uses a crystal structure in the Materials Project, relaxed with PBE and Cu Kα, 1.54184 Å.
Neutral-atom scattering factors, no anomalous dispersion.

Principal peaks in the range 2θ = 10–90°, most intense first:
Position (°2θ), d (Å), I_rel
47.77, 1.904, 100.0
28.71, 3.109, 94.0
16.46, 5.385, 47.2
56.69, 1.624, 40.4
37.34, 2.408, 30.0
89.06, 1.099, 27.0
23.36, 3.808, 18.4
77.22, 1.235, 16.1
69.86, 1.346, 13.7
33.27, 2.693, 13.1

```
12
Lattice="5.385 0.000 0.000 0.000 5.385 0.000 0.000 0.000 5.385" Properties=species:S:1:pos:R:3 pbc="T T T"
Y 0.000 0.000 2.693
Y 0.000 2.693 0.000
Y 2.693 0.000 0.000
F 0.000 0.000 0.000
F 1.387 1.387 1.387
F 1.387 1.387 3.999
F 1.387 3.999 1.387
F 1.387 3.999 3.999
F 3.999 1.387 1.387
F 3.999 1.387 3.999
F 3.999 3.999 1.387
F 3.999 3.999 3.999
```